# MgScHg4
Calculated powder XRD pattern, Cu Kα X-rays. Input: a DFT-relaxed cell (PBE, Alexandria).
Peak positions follow from Bragg's law for the DFT cell and can differ from measured ones.

Cell and atoms:
a = 4.0838 Å, b = 5.2819 Å, c = 7.0818 Å
α = 69.82°, β = 73.62°, γ = 74.21°
Space group P1 (No. 1)
Unique sites:
Mg: 0.0000 0.0000 0.0000 x1
Sc: 0.0011 0.4999 0.5002 x1
Hg: 0.3294 0.0026 0.3289 x1
Hg: 0.3362 0.4955 0.8322 x1
Hg: 0.6661 0.5041 0.1682 x1
Hg: 0.6721 0.9975 0.6709 x1

Top 8 peaks for 10° ≤ 2θ ≤ 90°, low angle first:
d [Å]  two_theta  I/Imax
4.586  19.4  43
2.784  32.1  100
2.600  34.5  83
2.559  35.1  80
2.432  37.0  69
2.337  38.5  62
2.236  40.3  54
2.027  44.7  41